# 1
Structure and simulated powder XRD pattern of K2CoH4I4O14 (a DFT-relaxed cell (PBE+U, the Materials Project); Cu Kα).
Lines closer than 0.1° are merged.

Top 10 peaks for 15° ≤ 2θ ≤ 90°, sorted by position:
2θ/deg	d (Å)	intensity	(hkl)
15.82	5.603	59.4	1 -1 0
21.29	4.174	35.0	1 1 2
21.93	4.053	45.7	1 1 -2
26.48	3.366	65.5	0 2 2
26.78	3.329	56.3	2 0 2
27.15	3.284	100.0	2 0 -2
30.75	2.908	51.0	0 0 4
43.36	2.087	19.1	2 2 4
44.73	2.026	34.9	-2 2 4
45.12	2.009	21.0	4 0 0

Crystal structure
Lattice parameters (Å, degrees): 8.0448 8.1150 11.6308 88.47 89.11 87.81
Fractional coordinates of all 50 atoms:
K 0.0000 0.0000 0.0000
K 0.2382 0.2381 0.7617
K 0.5000 0.5000 0.5000
K 0.7386 0.7386 0.2620
Co 0.0239 0.0282 0.4747
Co 0.5267 0.5261 0.9746
H 0.1810 0.2738 0.3517
H 0.1934 0.1014 0.2721
H 0.2779 0.3748 0.0974
H 0.4507 0.3543 0.1735
H 0.6816 0.7749 0.8511
H 0.6958 0.6023 0.7720
H 0.7788 0.8746 0.5965
H 0.9515 0.8553 0.6733
I 0.0019 0.4729 0.5090
I 0.2272 0.7551 0.2624
I 0.2699 0.7128 0.7698
I 0.4515 0.0085 0.5090
I 0.5010 0.9734 0.0089
I 0.7263 0.2550 0.7630
I 0.7693 0.2133 0.2692
I 0.9525 0.5090 0.0082
O 0.0166 0.2582 0.5658
O 0.0557 0.7891 0.7931
O 0.0576 0.8119 0.3636
O 0.0728 0.3400 0.0778
O 0.1535 0.1553 0.3444
O 0.1799 0.4622 0.4075
O 0.2337 0.9513 0.1790
O 0.2424 0.5529 0.6637
O 0.2438 0.9587 0.5686
O 0.2900 0.5743 0.8987
O 0.3290 0.9688 0.9072
O 0.3987 0.3983 0.1009
O 0.4127 0.7726 0.3508
O 0.4920 0.1810 0.6024
O 0.5134 0.7586 0.0648
O 0.5552 0.2893 0.2932
O 0.5552 0.3129 0.8633
O 0.5743 0.8402 0.5776
O 0.6563 0.6558 0.8445
O 0.6795 0.9629 0.9077
O 0.7338 0.4504 0.6788
O 0.7419 0.0531 0.1634
O 0.7436 0.4598 0.0664
O 0.7903 0.0745 0.3979
O 0.8294 0.4680 0.4077
O 0.8994 0.8991 0.6007
O 0.9118 0.2729 0.8513
O 0.9915 0.6810 0.1023

# 2
Structure and simulated powder XRD pattern of CoH8I2O10 (a DFT-relaxed cell (PBE+U, the Materials Project); Cu Kα).
Lines closer than 0.1° are merged.

Top 10 peaks for 15° ≤ 2θ ≤ 90°, sorted by position:
2θ/deg	d (Å)	intensity	(hkl)
17.12	5.180	95.1	1 1 0
19.18	4.627	23.1	1 1 -1
21.09	4.212	100.0	0 0 2
25.24	3.528	40.3	2 1 0
25.89	3.442	45.4	1 1 -2
28.71	3.109	17.2	1 1 2
30.37	2.943	39.0	1 2 -1
32.18	2.782	34.8	3 0 0
37.34	2.408	20.6	2 2 1
42.44	2.130	27.8	0 3 1

Crystal structure
Lattice parameters (Å, degrees): 8.4601 6.6054 8.5289 90.00 99.48 90.00
Fractional coordinates of all 42 atoms:
Co 0.0000 0.0000 0.0000
Co 0.0000 0.5000 0.5000
H 0.0095 0.1193 0.3087
H 0.0095 0.3807 0.8087
H 0.1559 0.5044 0.2610
H 0.1559 0.9956 0.7610
H 0.2675 0.6096 0.7238
H 0.2675 0.8904 0.2238
H 0.2766 0.7173 0.5562
H 0.2766 0.7827 0.0562
H 0.7234 0.2173 0.9438
H 0.7234 0.2827 0.4438
H 0.7325 0.1096 0.7762
H 0.7325 0.3904 0.2762
H 0.8441 0.0044 0.2390
H 0.8441 0.4956 0.7390
H 0.9905 0.6193 0.1913
H 0.9905 0.8807 0.6913
I 0.3328 0.1783 0.5302
I 0.3328 0.3217 0.0302
I 0.6672 0.6783 0.9698
I 0.6672 0.8217 0.4698
O 0.0643 0.5811 0.2906
O 0.0643 0.9189 0.7906
O 0.1146 0.2172 0.4750
O 0.1146 0.2828 0.9750
O 0.2419 0.5925 0.6068
O 0.2419 0.9075 0.1068
O 0.3383 0.5776 0.9436
O 0.3383 0.9224 0.4436
O 0.3394 0.1145 0.7398
O 0.3394 0.3855 0.2398
O 0.6606 0.6145 0.7602
O 0.6606 0.8855 0.2602
O 0.6617 0.0776 0.5564
O 0.6617 0.4224 0.0564
O 0.7581 0.0925 0.8932
O 0.7581 0.4075 0.3932
O 0.8854 0.7172 0.0250
O 0.8854 0.7828 0.5250
O 0.9357 0.0811 0.2094
O 0.9357 0.4189 0.7094